Calculated XRD peak list
Compound: Tb12NdHo2
Radiation: Cu Ka
Structure: a PBE-relaxed structure
No peak broadening, texture or thermal motion is included.

Largest 10 diffraction maxima, in order of rising 2θ, 5 to 70 degrees two-theta:
| 2θ/deg | intensity |
| --- | --- |
| 30.23 | 100 |
| 31.13 | 46 |
| 31.97 | 69 |
| 32.23 | 19 |
| 32.24 | 19 |
| 32.43 | 70 |
| 33.50 | 35 |
| 46.04 | 29 |
| 60.67 | 20 |
| 61.69 | 21 |

Cell and atoms:
Cell lengths 6.637, 6.637, 24.425 Å; angles 92.24, 92.24, 115.02 degrees
Atoms (fractional coordinates):
Tb: 0.055 0.544 0.202
Tb: 0.077 0.587 0.330
Tb: 0.134 0.643 0.555
Tb: 0.148 0.148 0.572
Tb: 0.215 0.215 0.858
Tb: 0.233 0.732 0.925
Tb: 0.268 0.767 0.075
Tb: 0.283 0.283 0.136
Tb: 0.357 0.866 0.445
Tb: 0.360 0.360 0.422
Tb: 0.413 0.923 0.670
Tb: 0.456 0.945 0.798
Tb: 0.544 0.055 0.202
Tb: 0.587 0.077 0.330
Tb: 0.640 0.640 0.578
Tb: 0.643 0.134 0.555
Tb: 0.717 0.717 0.864
Tb: 0.732 0.233 0.925
Tb: 0.767 0.268 0.075
Tb: 0.785 0.785 0.142
Tb: 0.852 0.852 0.428
Tb: 0.866 0.357 0.445
Tb: 0.923 0.413 0.670
Tb: 0.945 0.456 0.798
Nd: 0.249 0.249 0.998
Nd: 0.751 0.751 0.002
Ho: 0.072 0.072 0.273
Ho: 0.437 0.437 0.728
Ho: 0.563 0.563 0.272
Ho: 0.928 0.928 0.727